(1)
The following is a computed powder X-ray diffraction pattern of Ni3Pd2. It was derived from a structure optimized by DFT (GGA-PBE), using a wavelength of 1.5418 Å.
Intensities are scaled so that the largest is 100.

Main lines, low angle first (2θ = 15–90°):
d_spacing	two_theta	I (rel.)
3.534	25.2	28
2.897	30.9	20
2.057	44.0	100
2.040	44.4	87
1.449	64.3	31
1.181	81.5	31

a = 4.080 Å, b = 4.080 Å, c = 5.060 Å
α = 90.00°, β = 90.00°, γ = 120.00°
Element x y z (fractional)
Ni1 0.000 0.000 0.000
Ni2 0.333 0.667 0.637
Ni3 0.667 0.333 0.363
Pd1 0.333 0.667 0.155
Pd2 0.667 0.333 0.845

(2)
The following is a computed powder X-ray diffraction pattern of Ni3Pd. It was derived from a structure optimized by DFT (GGA-PBE), using a wavelength of 1.5418 Å.
Intensities are scaled so that the largest is 100.

Main lines, low angle first (2θ = 15–90°):
d_spacing	two_theta	I (rel.)
2.228	40.5	25
2.084	43.4	27
1.965	46.2	100
1.286	73.6	15
1.179	81.7	17
1.095	89.5	18

a = 5.145 Å, b = 5.145 Å, c = 4.169 Å
α = 90.00°, β = 90.00°, γ = 120.00°
Element x y z (fractional)
Ni1 0.161 0.323 0.250
Ni2 0.161 0.839 0.250
Ni3 0.323 0.161 0.750
Ni4 0.677 0.839 0.250
Ni5 0.839 0.161 0.750
Ni6 0.839 0.677 0.750
Pd1 0.333 0.667 0.750
Pd2 0.667 0.333 0.250

(3)
The following is a computed powder X-ray diffraction pattern of NiPd2. It was derived from a structure optimized by DFT (GGA-PBE), using a wavelength of 1.5418 Å.
Intensities are scaled so that the largest is 100.

Main lines, low angle first (2θ = 15–90°):
d_spacing	two_theta	I (rel.)
2.628	34.1	31
2.200	41.0	70
2.195	41.1	53
2.099	43.1	100
2.093	43.2	86
2.039	44.4	30

a = 6.493 Å, b = 6.493 Å, c = 9.002 Å
α = 90.00°, β = 90.00°, γ = 115.41°
Element x y z (fractional)
Ni1 0.123 0.223 0.223
Ni2 0.165 0.740 0.879
Ni3 0.223 0.123 0.777
Ni4 0.260 0.835 0.621
Ni5 0.740 0.165 0.121
Ni6 0.777 0.877 0.277
Ni7 0.835 0.260 0.379
Ni8 0.877 0.777 0.723
Pd1 0.024 0.616 0.173
Pd2 0.098 0.345 0.958
Pd3 0.108 0.108 0.500
Pd4 0.285 0.548 0.419
Pd5 0.345 0.098 0.042
Pd6 0.384 0.976 0.327
Pd7 0.431 0.569 0.750
Pd8 0.452 0.715 0.081
Pd9 0.548 0.285 0.581
Pd10 0.569 0.431 0.250
Pd11 0.616 0.024 0.827
Pd12 0.655 0.902 0.542
Pd13 0.715 0.452 0.919
Pd14 0.892 0.892 0.000
Pd15 0.902 0.655 0.458
Pd16 0.976 0.384 0.673

(4)
The following is a computed powder X-ray diffraction pattern of NiPd2Pt2. It was derived from a structure optimized by DFT (GGA-PBE), using a wavelength of 1.5418 Å.
Intensities are scaled so that the largest is 100.

Main lines, low angle first (2θ = 15–90°):
d_spacing	two_theta	I (rel.)
3.477	25.6	99
2.369	38.0	100
2.063	43.9	77
1.983	45.7	67
1.809	50.4	57
1.360	69.0	40

a = 3.619 Å, b = 3.619 Å, c = 12.556 Å
α = 90.00°, β = 90.00°, γ = 90.00°
Element x y z (fractional)
Ni1 0.000 0.000 0.000
Ni2 0.500 0.500 0.500
Pd1 0.000 0.500 0.250
Pd2 0.000 0.500 0.750
Pd3 0.500 0.000 0.250
Pd4 0.500 0.000 0.750
Pt1 0.000 0.000 0.403
Pt2 0.000 0.000 0.597
Pt3 0.500 0.500 0.097
Pt4 0.500 0.500 0.903

(5)
The following is a computed powder X-ray diffraction pattern of Rb2NiPd2S4. It was derived from a structure optimized by DFT (GGA-PBE), using a wavelength of 1.5418 Å.
Intensities are scaled so that the largest is 100.

Main lines, low angle first (2θ = 15–90°):
d_spacing	two_theta	I (rel.)
4.122	21.6	100
3.485	25.6	99
2.698	33.2	98
2.521	35.6	89
2.324	38.7	60
1.743	52.5	73

a = 8.575 Å, b = 7.544 Å, c = 6.055 Å
α = 77.33°, β = 59.13°, γ = 43.54°
Element x y z (fractional)
Rb1 0.158 0.158 0.842
Rb2 0.842 0.842 0.158
Ni1 0.500 0.500 0.500
Pd1 0.000 0.000 0.500
Pd2 0.500 0.500 0.000
S1 0.233 0.549 0.451
S2 0.451 0.767 0.233
S3 0.549 0.233 0.767
S4 0.767 0.451 0.549

(6)
The following is a computed powder X-ray diffraction pattern of Rb2Ni2PdS4. It was derived from a structure optimized by DFT (GGA-PBE), using a wavelength of 1.5418 Å.
Intensities are scaled so that the largest is 100.

Main lines, low angle first (2θ = 15–90°):
d_spacing	two_theta	I (rel.)
3.434	25.9	100
2.978	30.0	22
2.593	34.6	26
2.583	34.7	39
2.506	35.8	73
1.717	53.4	41

a = 8.627 Å, b = 7.511 Å, c = 5.980 Å
α = 78.61°, β = 58.59°, γ = 42.80°
Element x y z (fractional)
Rb1 0.158 0.158 0.842
Rb2 0.842 0.842 0.158
Ni1 0.000 0.000 0.500
Ni2 0.500 0.500 0.000
Pd1 0.500 0.500 0.500
S1 0.216 0.572 0.428
S2 0.428 0.784 0.216
S3 0.572 0.216 0.784
S4 0.784 0.428 0.572